Record 1
For YNi10B2, a DFT-relaxed cell (PBE, Alexandria) gives the simulated powder diffractogram in this record (a wavelength of 1.5418 Å).

Lattice parameters (Å, degrees): 4.5810 10.8728 11.5747 90.00 90.00 90.00
Space group Fmmm (No. 69)
Symmetry-distinct sites (fractional):
Y  0.0000  0.0000  0.0000 [4 per cell]
Ni  0.0000  0.1072  0.3747 [16 per cell]
Ni  0.0000  0.1645  0.1797 [16 per cell]
Ni  0.2500  0.2500  0.0000 [8 per cell]
B  0.2500  0.0000  0.2500 [8 per cell]

The 8 most intense peaks (10 to 80 degrees two-theta), by angle:
| 2theta | I (rel.) | (hkl) |
| --- | --- | --- |
| 36.52 | 38 | 0 4 2 |
| 39.36 | 87 | 2 0 0 |
| 44.64 | 56 | 1 1 5 |
| 45.78 | 100 | 0 4 4 |
| 46.91 | 42 | 1 5 1 |
| 47.11 | 20 | 0 0 6 |
| 50.85 | 34 | 2 0 4 |
| 52.23 | 39 | 2 4 0 |

Record 2
For YNi12B6, a DFT-relaxed cell (PBE, Alexandria) gives the simulated powder diffractogram in this record (a wavelength of 1.5418 Å).

Lattice parameters (Å, degrees): 9.5656 7.3670 10.9839 90.00 90.00 90.00
Space group Cmc2_1 (No. 36)
Symmetry-distinct sites (fractional):
Y  0.0000  0.1667  0.0000 [4 per cell]
Ni  0.0000  0.2171  0.3971 [4 per cell]
Ni  0.0000  0.4329  0.5785 [4 per cell]
Ni  0.1308  0.3254  0.7630 [8 per cell]
Ni  0.1310  0.3430  0.2203 [8 per cell]
Ni  0.1315  0.0136  0.2410 [8 per cell]
Ni  0.1829  0.1856  0.5593 [8 per cell]
Ni  0.1933  0.4643  0.4287 [8 per cell]
B  0.0000  0.1637  0.6577 [4 per cell]
B  0.0000  0.4868  0.3407 [4 per cell]
B  0.2065  0.1941  0.3741 [8 per cell]
B  0.2154  0.4572  0.6117 [8 per cell]

The 8 most intense peaks (10 to 80 degrees two-theta), by angle:
| 2theta | I (rel.) | (hkl) |
| --- | --- | --- |
| 31.69 | 40 | 2 2 1 |
| 34.78 | 55 | 2 2 2 |
| 39.45 | 62 | 3 1 3 |
| 41.17 | 78 | 4 0 2 |
| 41.37 | 100 | 1 3 2 |
| 44.04 | 39 | 1 1 5 |
| 49.75 | 58 | 0 0 6 |
| 61.44 | 29 | 5 3 0 |

Record 3
For Y3Ni7B2, a DFT-relaxed cell (PBE, Alexandria) gives the simulated powder diffractogram in this record (a wavelength of 1.5418 Å).

Lattice parameters (Å, degrees): 5.1012 5.1012 14.3406 90.00 90.00 120.00
Space group P6_3/mmc (No. 194)
Symmetry-distinct sites (fractional):
Y  0.3333  0.6667  0.0317 [4 per cell]
Y  0.3333  0.6667  0.2500 [2 per cell]
Ni  0.0000  0.0000  0.0000 [2 per cell]
Ni  0.1654  0.3309  0.6498 [12 per cell]
B  0.0000  0.0000  0.2500 [2 per cell]
B  0.3333  0.6667  0.7500 [2 per cell]

The 8 most intense peaks (10 to 80 degrees two-theta), by angle:
| 2theta | I (rel.) | (hkl) |
| --- | --- | --- |
| 35.19 | 23 | 1 1 0 |
| 37.39 | 100 | 1 0 5 |
| 40.85 | 21 | 2 0 0 |
| 41.36 | 84 | 2 0 1 |
| 43.55 | 82 | 1 1 4 |
| 64.59 | 35 | 2 1 5 |
| 73.25 | 25 | 2 0 9 |
| 74.39 | 26 | 2 2 0 |

Please write out number 1 again, unchanged.
For YNi10B2, a DFT-relaxed cell (PBE, Alexandria) gives the simulated powder diffractogram in this record (a wavelength of 1.5418 Å).

Lattice parameters (Å, degrees): 4.5810 10.8728 11.5747 90.00 90.00 90.00
Space group Fmmm (No. 69)
Symmetry-distinct sites (fractional):
Y  0.0000  0.0000  0.0000 [4 per cell]
Ni  0.0000  0.1072  0.3747 [16 per cell]
Ni  0.0000  0.1645  0.1797 [16 per cell]
Ni  0.2500  0.2500  0.0000 [8 per cell]
B  0.2500  0.0000  0.2500 [8 per cell]

The 8 most intense peaks (10 to 80 degrees two-theta), by angle:
| 2theta | I (rel.) | (hkl) |
| --- | --- | --- |
| 36.52 | 38 | 0 4 2 |
| 39.36 | 87 | 2 0 0 |
| 44.64 | 56 | 1 1 5 |
| 45.78 | 100 | 0 4 4 |
| 46.91 | 42 | 1 5 1 |
| 47.11 | 20 | 0 0 6 |
| 50.85 | 34 | 2 0 4 |
| 52.23 | 39 | 2 4 0 |

What is the formula in the third record? Y3Ni7B2